This entry pairs a crystal structure of NaH8Se2 with its theoretical powder diffraction line list. Radiation: Cu Ka. Structure: a DFT-relaxed cell (PBE, Alexandria).
Kinematic intensities with the Lorentz-polarization factor, no thermal factor.

Top 6 peaks for 10° ≤ 2θ ≤ 90°, by intensity:
- 2θ = 13.57°, I 1000, (0 1 1)
- 2θ = 19.25°, I 331, (0 1 -1)
- 2θ = 33.50°, I 296, (1 -1 1)
- 2θ = 34.16°, I 267, (1 0 -2)
- 2θ = 20.33°, I 257, (0 0 2)
- 2θ = 20.06°, I 205, (0 1 2)

Structure:
```
data_NaH8Se2
_chemical_formula_sum 'Na1 H8 Se2'
_cell_length_a 3.2837
_cell_length_b 7.1567
_cell_length_c 9.3080
_cell_angle_alpha 69.80
_cell_angle_beta 89.96
_cell_angle_gamma 89.99
_symmetry_space_group_name_H-M 'P -1'
_symmetry_Int_Tables_number 2
_symmetry_space_group_name_Hall '-P 1'
loop_
_atom_site_label
_atom_site_type_symbol
_atom_site_fract_x
_atom_site_fract_y
_atom_site_fract_z
Na1 Na 0.0000 0.0000 0.0000
H1 H 0.9999 0.5001 0.0405
H2 H 0.0017 0.7501 0.6497
H3 H 0.0030 0.8602 0.6357
H4 H 0.4991 0.8034 0.3413
Se1 Se 0.4988 0.7011 0.2274
```

=====

This entry pairs a crystal structure of NaSiH3 with its theoretical powder diffraction line list. Radiation: Cu Ka. Structure: a DFT-relaxed cell (PBE, Alexandria).
Kinematic intensities with the Lorentz-polarization factor, no thermal factor.

Top 6 peaks for 10° ≤ 2θ ≤ 90°, by intensity:
- 2θ = 32.88°, I 1000, (2 2 1)
- 2θ = 31.52°, I 736, (2 2 -1)
- 2θ = 27.10°, I 355, (0 0 2)
- 2θ = 35.03°, I 341, (0 4 0)
- 2θ = 31.40°, I 334, (1 3 -1)
- 2θ = 19.24°, I 282, (1 1 -1)

Structure:
```
data_NaSiH3
_chemical_formula_sum 'Na8 Si8 H24'
_cell_length_a 7.6763
_cell_length_b 10.2466
_cell_length_c 6.5955
_cell_angle_alpha 90.00
_cell_angle_beta 93.87
_cell_angle_gamma 90.00
_symmetry_space_group_name_H-M 'C 1 2/c 1'
_symmetry_Int_Tables_number 15
_symmetry_space_group_name_Hall '-C 2yc'
loop_
_atom_site_label
_atom_site_type_symbol
_atom_site_fract_x
_atom_site_fract_y
_atom_site_fract_z
Na1 Na 0.0000 0.1071 0.2500
Na2 Na 0.0000 0.3353 0.7500
Si1 Si 0.2097 0.3741 0.3571
H1 H 0.0948 0.1010 0.5794
H2 H 0.1995 0.4973 0.7330
H3 H 0.2465 0.2083 0.8300
```

=====

This entry pairs a crystal structure of NaSi3H12 with its theoretical powder diffraction line list. Radiation: Cu Ka. Structure: a DFT-relaxed cell (PBE, Alexandria).
Kinematic intensities with the Lorentz-polarization factor, no thermal factor.

Top 6 peaks for 10° ≤ 2θ ≤ 90°, by intensity:
- 2θ = 26.12°, I 1000, (1 1 3)
- 2θ = 18.89°, I 715, (0 0 6)
- 2θ = 15.32°, I 683, (0 1 2)
- 2θ = 30.95°, I 569, (0 2 4)
- 2θ = 37.80°, I 309, (1 1 9)
- 2θ = 37.66°, I 223, (2 1 1)

Structure:
```
data_NaSi3H12
_chemical_formula_sum 'Na6 Si18 H72'
_cell_length_a 7.3242
_cell_length_b 7.3242
_cell_length_c 28.1806
_cell_angle_alpha 90.00
_cell_angle_beta 90.00
_cell_angle_gamma 120.00
_symmetry_space_group_name_H-M 'R 3 c'
_symmetry_Int_Tables_number 161
_symmetry_space_group_name_Hall 'R 3 -2"c'
loop_
_atom_site_label
_atom_site_type_symbol
_atom_site_fract_x
_atom_site_fract_y
_atom_site_fract_z
Na1 Na 0.0000 0.0000 0.0000
Si1 Si 0.0054 0.2688 0.1125
H1 H 0.0621 0.2090 0.0653
H2 H 0.0654 0.5018 0.8267
H3 H 0.0732 0.5137 0.9511
H4 H 0.0744 0.2388 0.4376
```

=====

This entry pairs a crystal structure of NaSiH with its theoretical powder diffraction line list. Radiation: Cu Ka. Structure: a DFT-relaxed cell (PBE, Alexandria).
Kinematic intensities with the Lorentz-polarization factor, no thermal factor.

Top 6 peaks for 10° ≤ 2θ ≤ 90°, by intensity:
- 2θ = 28.56°, I 1000, (0 2 0)
- 2θ = 28.67°, I 425, (1 0 2)
- 2θ = 36.35°, I 421, (3 0 2)
- 2θ = 30.66°, I 407, (3 1 1)
- 2θ = 46.86°, I 391, (3 2 2)
- 2θ = 31.12°, I 348, (4 0 0)

Structure:
```
data_NaSiH
_chemical_formula_sum 'Na8 Si8 H8'
_cell_length_a 11.4950
_cell_length_b 6.2517
_cell_length_c 6.4687
_cell_angle_alpha 90.00
_cell_angle_beta 90.00
_cell_angle_gamma 90.00
_symmetry_space_group_name_H-M 'P b c n'
_symmetry_Int_Tables_number 60
_symmetry_space_group_name_Hall '-P 2n 2ab'
loop_
_atom_site_label
_atom_site_type_symbol
_atom_site_fract_x
_atom_site_fract_y
_atom_site_fract_z
Na1 Na 0.1401 0.2482 0.1864
Si1 Si 0.0813 0.2517 0.6527
H1 H 0.1702 0.2515 0.8361
```